# Li3TiMn3O8
Theoretical XRD peak list, Cu Kα, 1.54184 Å. Input: a PBE+U-relaxed structure.
Kinematic intensities with the Lorentz-polarization factor, no thermal factor.

Atomic structure:
Cell: 5.9070 6.1122 14.6639 Å, 94.82 90.77 118.21°
Space group P-1 (No. 2)
Inequivalent atoms, fractional coordinates:
Li 0.0000 0.0000 0.0000 (multiplicity 1)
Li 0.0000 0.5000 0.5000 (multiplicity 1)
Li 0.1675 0.3342 0.1685 (multiplicity 2)
Li 0.1713 0.8437 0.6688 (multiplicity 2)
Li 0.3419 0.6743 0.3356 (multiplicity 2)
Li 0.5000 0.5000 0.0000 (multiplicity 1)
Ti 0.0000 0.5000 0.0000 (multiplicity 1)
Ti 0.3374 0.1573 0.3367 (multiplicity 2)
Mn 0.0000 0.0000 0.5000 (multiplicity 1)
Mn 0.1668 0.8338 0.1668 (multiplicity 2)
Mn 0.1702 0.3313 0.6701 (multiplicity 2)
Mn 0.3346 0.6656 0.8338 (multiplicity 2)
Mn 0.5000 0.0000 0.0000 (multiplicity 1)
Mn 0.5000 0.5000 0.5000 (multiplicity 1)
O 0.0282 0.5043 0.7508 (multiplicity 2)
O 0.0404 0.0166 0.2494 (multiplicity 2)
O 0.1361 0.3259 0.9201 (multiplicity 2)
O 0.1513 0.8572 0.4081 (multiplicity 2)
O 0.1750 0.8001 0.9249 (multiplicity 2)
O 0.1914 0.3420 0.4166 (multiplicity 2)
O 0.3002 0.6567 0.0852 (multiplicity 2)
O 0.3009 0.1637 0.5871 (multiplicity 2)
O 0.3492 0.6561 0.5839 (multiplicity 2)
O 0.3598 0.1697 0.0819 (multiplicity 2)
O 0.4699 0.9927 0.2560 (multiplicity 2)
O 0.4985 0.5390 0.7426 (multiplicity 2)

Principal peaks in the range 2θ = 10–90°, in order of rising 2θ:
h k l  Position (°2θ)  I (rel.)
1 -1 1  18.05  100
1 1 -3  32.99  19
1 1 3  36.00  25
0 2 -4  39.65  30
-2 2 4  43.82  22
2 0 4  44.00  22
2 2 0  60.25  14
2 -4 0  60.91  7
2 -2 8  61.14  7
0 2 8  64.74  9


# Li5Ti2Mn3O10
Theoretical XRD peak list, Cu Kα, 1.54184 Å. Input: a PBE+U-relaxed structure.
Kinematic intensities with the Lorentz-polarization factor, no thermal factor.

Atomic structure:
Cell: 5.2401 5.2756 7.8836 Å, 107.78 101.14 101.65°
Space group P1 (No. 1)
Inequivalent atoms, fractional coordinates:
Li 0.0000 0.0000 0.0000 (multiplicity 1)
Li 0.1031 0.2094 0.7167 (multiplicity 1)
Li 0.2789 0.6090 0.0982 (multiplicity 1)
Li 0.7142 0.3978 0.8934 (multiplicity 1)
Li 0.8874 0.7998 0.2779 (multiplicity 1)
Ti 0.3975 0.7875 0.8097 (multiplicity 1)
Ti 0.5949 0.2220 0.1822 (multiplicity 1)
Mn 0.1843 0.3955 0.3929 (multiplicity 1)
Mn 0.4935 0.0049 0.4952 (multiplicity 1)
Mn 0.8064 0.6148 0.5994 (multiplicity 1)
O 0.0707 0.6166 0.8442 (multiplicity 1)
O 0.1784 0.8199 0.5614 (multiplicity 1)
O 0.2744 0.0088 0.2620 (multiplicity 1)
O 0.3596 0.1751 0.9542 (multiplicity 1)
O 0.4428 0.4371 0.6640 (multiplicity 1)
O 0.5473 0.5712 0.3267 (multiplicity 1)
O 0.6315 0.8323 0.0370 (multiplicity 1)
O 0.7130 0.9992 0.7277 (multiplicity 1)
O 0.8098 0.1888 0.4291 (multiplicity 1)
O 0.9206 0.3915 0.1474 (multiplicity 1)

Principal peaks in the range 2θ = 10–90°, in order of rising 2θ:
h k l  Position (°2θ)  I (rel.)
0 0 1  12.26  99
1 0 0  17.97  46
0 1 -1  18.09  100
1 -1 0  21.87  30
1 0 -2  26.30  27
1 0 2  34.52  30
-1 2 1  41.48  99
1 -1 3  42.13  91
2 1 -2  43.22  86
0 1 4  60.90  25


# LiTi2Mn3O10
Theoretical XRD peak list, Cu Kα, 1.54184 Å. Input: a PBE+U-relaxed structure.
Kinematic intensities with the Lorentz-polarization factor, no thermal factor.

Atomic structure:
Cell: 5.0214 5.0853 7.9264 Å, 74.94 73.61 81.99°
Space group P1 (No. 1)
Inequivalent atoms, fractional coordinates:
Li 0.0000 0.0000 0.0000 (multiplicity 1)
Ti 0.2171 0.4915 0.2179 (multiplicity 1)
Ti 0.4478 0.4850 0.8613 (multiplicity 1)
Mn 0.0283 0.5165 0.6385 (multiplicity 1)
Mn 0.3334 0.0016 0.5413 (multiplicity 1)
Mn 0.6359 0.4935 0.4401 (multiplicity 1)
O 0.1423 0.7504 0.7556 (multiplicity 1)
O 0.2246 0.2680 0.0633 (multiplicity 1)
O 0.2928 0.7202 0.4178 (multiplicity 1)
O 0.3689 0.2850 0.6666 (multiplicity 1)
O 0.4160 0.7174 0.0134 (multiplicity 1)
O 0.5197 0.2565 0.3284 (multiplicity 1)
O 0.6875 0.7105 0.5974 (multiplicity 1)
O 0.8017 0.3166 0.8499 (multiplicity 1)
O 0.8716 0.6819 0.2295 (multiplicity 1)
O 0.9748 0.2934 0.4851 (multiplicity 1)

Principal peaks in the range 2θ = 10–90°, in order of rising 2θ:
h k l  Position (°2θ)  I (rel.)
0 0 1  11.97  100
0 1 0  18.11  94
1 0 0  18.46  32
1 1 1  23.53  23
1 0 2  26.36  31
0 1 2  26.62  12
-1 1 1  29.76  15
1 1 -2  41.03  46
2 -1 1  43.31  42
1 2 3  44.59  41


# Li10Ti3Mn5O16
Theoretical XRD peak list, Cu Kα, 1.54184 Å. Input: a PBE+U-relaxed structure.
Kinematic intensities with the Lorentz-polarization factor, no thermal factor.

Atomic structure:
Cell: 6.0319 6.2219 10.1088 Å, 91.71 90.15 118.74°
Space group P1 (No. 1)
Inequivalent atoms, fractional coordinates:
Li 0.0000 0.0000 0.0000 (multiplicity 1)
Li 0.0177 0.0567 0.5053 (multiplicity 1)
Li 0.1705 0.8256 0.5907 (multiplicity 1)
Li 0.2301 0.4713 0.5670 (multiplicity 1)
Li 0.3492 0.7095 0.7832 (multiplicity 1)
Li 0.4132 0.2694 0.0611 (multiplicity 1)
Li 0.6383 0.8238 0.5892 (multiplicity 1)
Li 0.6768 0.3705 0.2921 (multiplicity 1)
Li 0.8116 0.6409 0.0758 (multiplicity 1)
Li 0.8503 0.2657 0.0610 (multiplicity 1)
Ti 0.1556 0.8574 0.3057 (multiplicity 1)
Ti 0.6621 0.8769 0.2950 (multiplicity 1)
Ti 0.8279 0.6661 0.8045 (multiplicity 1)
Mn 0.1806 0.3687 0.2943 (multiplicity 1)
Mn 0.3330 0.1836 0.8000 (multiplicity 1)
Mn 0.3356 0.6832 0.0342 (multiplicity 1)
Mn 0.6480 0.3122 0.5501 (multiplicity 1)
Mn 0.8406 0.1830 0.8000 (multiplicity 1)
O 0.0228 0.5597 0.1889 (multiplicity 1)
O 0.1383 0.8207 0.9126 (multiplicity 1)
O 0.1558 0.3171 0.9483 (multiplicity 1)
O 0.3255 0.1747 0.4102 (multiplicity 1)
O 0.3602 0.7296 0.4108 (multiplicity 1)
O 0.4993 0.0113 0.6768 (multiplicity 1)
O 0.5056 0.0129 0.1870 (multiplicity 1)
O 0.5137 0.5160 0.6794 (multiplicity 1)
O 0.5249 0.5593 0.1898 (multiplicity 1)
O 0.6773 0.8213 0.9156 (multiplicity 1)
O 0.6852 0.3768 0.9241 (multiplicity 1)
O 0.8326 0.1767 0.4082 (multiplicity 1)
O 0.8692 0.7400 0.4113 (multiplicity 1)
O 0.9755 0.9654 0.6847 (multiplicity 1)
O 0.9890 0.5142 0.6780 (multiplicity 1)
O 0.9894 0.9934 0.1892 (multiplicity 1)

Principal peaks in the range 2θ = 10–90°, in order of rising 2θ:
h k l  Position (°2θ)  I (rel.)
0 0 2  17.56  100
0 1 -1  18.21  45
1 0 -1  18.78  48
1 -1 1  18.88  36
-1 1 1  19.11  47
-1 2 2  34.29  40
2 -1 2  34.64  39
0 2 -3  41.89  36
2 0 -3  43.09  36
2 0 3  43.95  58


# Li4TiMn3O8
Theoretical XRD peak list, Cu Kα, 1.54184 Å. Input: a PBE+U-relaxed structure.
Kinematic intensities with the Lorentz-polarization factor, no thermal factor.

Atomic structure:
Cell: 5.9613 6.0789 14.8200 Å, 87.84 88.18 60.84°
Space group P1 (No. 1)
Inequivalent atoms, fractional coordinates:
Li 0.0000 0.0000 0.0000 (multiplicity 1)
Li 0.0009 0.4969 0.9987 (multiplicity 1)
Li 0.1641 0.6683 0.1659 (multiplicity 1)
Li 0.1671 0.1677 0.1622 (multiplicity 1)
Li 0.3330 0.3276 0.3324 (multiplicity 1)
Li 0.3411 0.8330 0.3368 (multiplicity 1)
Li 0.4971 0.9953 0.4988 (multiplicity 1)
Li 0.4987 0.4787 0.4971 (multiplicity 1)
Li 0.6605 0.1579 0.6632 (multiplicity 1)
Li 0.6640 0.6635 0.6639 (multiplicity 1)
Li 0.8355 0.8262 0.8371 (multiplicity 1)
Li 0.8390 0.3244 0.8327 (multiplicity 1)
Ti 0.3521 0.3169 0.8310 (multiplicity 1)
Ti 0.6514 0.6738 0.1672 (multiplicity 1)
Ti 0.9979 0.9987 0.4996 (multiplicity 1)
Mn 0.1640 0.6605 0.6671 (multiplicity 1)
Mn 0.1660 0.1587 0.6667 (multiplicity 1)
Mn 0.3478 0.8190 0.8322 (multiplicity 1)
Mn 0.5000 0.4967 0.9992 (multiplicity 1)
Mn 0.5008 0.9964 0.9992 (multiplicity 1)
Mn 0.6545 0.1727 0.1661 (multiplicity 1)
Mn 0.8319 0.8372 0.3317 (multiplicity 1)
Mn 0.8349 0.3336 0.3310 (multiplicity 1)
Mn 0.9958 0.4993 0.4991 (multiplicity 1)
O 0.0404 0.4397 0.7508 (multiplicity 1)
O 0.0460 0.9801 0.7529 (multiplicity 1)
O 0.1604 0.6729 0.4305 (multiplicity 1)
O 0.1627 0.1411 0.4182 (multiplicity 1)
O 0.1881 0.6363 0.9001 (multiplicity 1)
O 0.1941 0.1625 0.9223 (multiplicity 1)
O 0.2912 0.3374 0.5812 (multiplicity 1)
O 0.3000 0.8713 0.5837 (multiplicity 1)
O 0.3533 0.3271 0.0896 (multiplicity 1)
O 0.3528 0.8374 0.0840 (multiplicity 1)
O 0.4920 0.5362 0.2463 (multiplicity 1)
O 0.5008 0.9936 0.7600 (multiplicity 1)
O 0.5013 0.9988 0.2386 (multiplicity 1)
O 0.5093 0.4561 0.7516 (multiplicity 1)
O 0.6494 0.1545 0.9147 (multiplicity 1)
O 0.6488 0.6646 0.9090 (multiplicity 1)
O 0.6919 0.1307 0.4158 (multiplicity 1)
O 0.7030 0.6611 0.4157 (multiplicity 1)
O 0.8082 0.8294 0.0764 (multiplicity 1)
O 0.8146 0.3545 0.0979 (multiplicity 1)
O 0.8324 0.3257 0.5679 (multiplicity 1)
O 0.8332 0.8547 0.5802 (multiplicity 1)
O 0.9550 0.0123 0.2460 (multiplicity 1)
O 0.9621 0.5516 0.2473 (multiplicity 1)

Principal peaks in the range 2θ = 10–90°, in order of rising 2θ:
h k l  Position (°2θ)  I (rel.)
1 0 -1  18.15  100
1 2 3  34.07  17
1 0 5  34.62  15
1 2 -3  35.29  13
2 2 2  36.25  9
0 2 4  41.36  30
2 0 4  42.13  29
2 2 -4  43.41  27
2 2 8  60.25  8
2 4 0  61.04  8